The following is a computed X-ray diffraction stick pattern of Pa4Pd6O19. It was derived from a cell relaxed with PBE, using copper Kα.
Kinematic intensities with the Lorentz-polarization factor, no thermal factor.

Peak list (10 most intense, 2θ = 10–90°, sorted by position)
23.19 deg, intensity 100; 30.08 deg, intensity 68; 33.03 deg, intensity 53; 35.76 deg, intensity 31; 40.75 deg, intensity 36; 49.47 deg, intensity 17; 53.42 deg, intensity 36; 55.32 deg, intensity 37; 57.18 deg, intensity 17; 65.96 deg, intensity 19

Unit cell a=8.1353 b=8.1353 c=8.1353 alpha=109.47 beta=109.47 gamma=109.47
Fractional positions:
1 Pa 0.0000 0.0000 0.7225
2 Pa 0.0000 0.7225 0.0000
3 Pa 0.2775 0.2775 0.2775
4 Pa 0.7225 0.0000 0.0000
5 Pd 0.2493 0.7493 0.5000
6 Pd 0.2507 0.5000 0.7507
7 Pd 0.5000 0.2493 0.7493
8 Pd 0.5000 0.7507 0.2507
9 Pd 0.7493 0.5000 0.2493
10 Pd 0.7507 0.2507 0.5000
11 O 0.0000 0.0000 0.0000
12 O 0.0001 0.2436 0.6468
13 O 0.0000 0.2606 0.2606
14 O 0.9999 0.6468 0.2435
15 O 0.0000 0.7394 0.7394
16 O 0.2435 0.9999 0.6468
17 O 0.2436 0.6468 0.0001
18 O 0.2606 0.0000 0.2606
19 O 0.2606 0.2606 0.0000
20 O 0.3532 0.3532 0.5968
21 O 0.3532 0.5968 0.3532
22 O 0.4032 0.7564 0.7565
23 O 0.5968 0.3532 0.3532
24 O 0.6468 0.0001 0.2436
25 O 0.6468 0.2435 0.9999
26 O 0.7394 0.0000 0.7394
27 O 0.7394 0.7394 0.0000
28 O 0.7565 0.4032 0.7564
29 O 0.7564 0.7565 0.4032

---

The following is a computed X-ray diffraction stick pattern of Pa4Pd3O12. It was derived from a cell relaxed with PBE, using copper Kα.
Kinematic intensities with the Lorentz-polarization factor, no thermal factor.

Peak list (10 most intense, 2θ = 10–90°, sorted by position)
21.50 deg, intensity 31; 30.59 deg, intensity 100; 37.69 deg, intensity 7; 43.80 deg, intensity 23; 49.30 deg, intensity 16; 54.37 deg, intensity 47; 63.68 deg, intensity 14; 68.05 deg, intensity 6; 72.28 deg, intensity 19; 88.51 deg, intensity 23

Unit cell a=7.1594 b=7.1594 c=7.1594 alpha=109.47 beta=109.47 gamma=109.47
Fractional positions:
1 Pa 0.0000 0.0000 0.5000
2 Pa 0.0000 0.5000 0.0000
3 Pa 0.5000 0.0000 0.0000
4 Pa 0.5000 0.5000 0.5000
5 Pd 0.0000 0.5000 0.5000
6 Pd 0.5000 0.0000 0.5000
7 Pd 0.5000 0.5000 0.0000
8 O 0.1308 0.3071 0.8237
9 O 0.1763 0.4834 0.3071
10 O 0.1763 0.8692 0.6929
11 O 0.3071 0.1763 0.4834
12 O 0.3071 0.8237 0.1308
13 O 0.4834 0.3071 0.1763
14 O 0.5166 0.6929 0.8237
15 O 0.6929 0.1763 0.8692
16 O 0.6929 0.8237 0.5166
17 O 0.8237 0.1308 0.3071
18 O 0.8237 0.5166 0.6929
19 O 0.8692 0.6929 0.1763

---

The following is a computed X-ray diffraction stick pattern of Rb2Pa3PdO12. It was derived from a cell relaxed with PBE, using copper Kα.
Kinematic intensities with the Lorentz-polarization factor, no thermal factor.

Peak list (10 most intense, 2θ = 10–90°, sorted by position)
13.58 deg, intensity 66; 14.25 deg, intensity 54; 26.05 deg, intensity 87; 26.41 deg, intensity 87; 27.13 deg, intensity 33; 27.35 deg, intensity 100; 28.74 deg, intensity 34; 45.12 deg, intensity 45; 46.93 deg, intensity 42; 54.38 deg, intensity 37

Unit cell a=7.7551 b=7.7551 c=7.7551 alpha=62.42 beta=62.42 gamma=62.42
Fractional positions:
1 Rb 0.1336 0.1336 0.1336
2 Rb 0.8664 0.8664 0.8664
3 Pa 0.0000 0.5000 0.5000
4 Pa 0.5000 0.0000 0.5000
5 Pa 0.5000 0.5000 0.0000
6 Pd 0.5000 0.5000 0.5000
7 O 0.1768 0.1768 0.5573
8 O 0.1768 0.5573 0.1768
9 O 0.2039 0.5601 0.5601
10 O 0.4399 0.4399 0.7961
11 O 0.4399 0.7961 0.4399
12 O 0.4427 0.8232 0.8232
13 O 0.5573 0.1768 0.1768
14 O 0.5601 0.2040 0.5601
15 O 0.5601 0.5601 0.2040
16 O 0.7960 0.4399 0.4399
17 O 0.8232 0.4427 0.8232
18 O 0.8232 0.8232 0.4427

---

The following is a computed X-ray diffraction stick pattern of PaSbPdO6. It was derived from a cell relaxed with PBE, using copper Kα.
Kinematic intensities with the Lorentz-polarization factor, no thermal factor.

Peak list (10 most intense, 2θ = 10–90°, sorted by position)
19.40 deg, intensity 27; 20.73 deg, intensity 15; 26.78 deg, intensity 100; 31.96 deg, intensity 65; 37.66 deg, intensity 32; 42.17 deg, intensity 29; 51.59 deg, intensity 51; 53.87 deg, intensity 29; 56.95 deg, intensity 22; 73.34 deg, intensity 17

Unit cell a=5.6010 b=5.6010 c=9.1512 alpha=90.00 beta=90.00 gamma=120.00
Fractional positions:
1 Pa 0.3333 0.6667 0.2500
2 Pa 0.6667 0.3333 0.7500
3 Sb 0.3333 0.6667 0.7500
4 Sb 0.6667 0.3333 0.2500
5 Pd 0.0000 0.0000 0.0000
6 Pd 0.0000 0.0000 0.5000
7 O 0.0238 0.3633 0.6323
8 O 0.0238 0.6605 0.8677
9 O 0.3395 0.3633 0.8677
10 O 0.3395 0.9762 0.6323
11 O 0.3633 0.0238 0.1323
12 O 0.3633 0.3395 0.3677
13 O 0.6367 0.6605 0.6323
14 O 0.6367 0.9762 0.8677
15 O 0.6605 0.0238 0.3677
16 O 0.6605 0.6367 0.1323
17 O 0.9762 0.3395 0.1323
18 O 0.9762 0.6367 0.3677

---

The following is a computed X-ray diffraction stick pattern of SrPaPd2O6. It was derived from a cell relaxed with PBE, using copper Kα.
Kinematic intensities with the Lorentz-polarization factor, no thermal factor.

Peak list (10 most intense, 2θ = 10–90°, sorted by position)
16.19 deg, intensity 23; 18.31 deg, intensity 15; 27.96 deg, intensity 100; 30.54 deg, intensity 70; 34.75 deg, intensity 19; 41.88 deg, intensity 34; 47.79 deg, intensity 20; 52.72 deg, intensity 35; 54.29 deg, intensity 22; 66.77 deg, intensity 15

Unit cell a=6.4350 b=6.4350 c=6.4350 alpha=54.11 beta=54.11 gamma=54.11
Fractional positions:
1 Sr 0.0000 0.0000 0.0000
2 Pa 0.5000 0.5000 0.5000
3 Pd 0.2333 0.2333 0.2333
4 Pd 0.7667 0.7667 0.7667
5 O 0.1127 0.7342 0.4342
6 O 0.2658 0.5658 0.8873
7 O 0.4342 0.1127 0.7342
8 O 0.5658 0.8873 0.2658
9 O 0.7342 0.4342 0.1127
10 O 0.8873 0.2658 0.5658

---

The following is a computed X-ray diffraction stick pattern of SrPa2PdO8. It was derived from a cell relaxed with PBE, using copper Kα.
Kinematic intensities with the Lorentz-polarization factor, no thermal factor.

Peak list (10 most intense, 2θ = 10–90°, sorted by position)
13.19 deg, intensity 95; 23.19 deg, intensity 96; 32.86 deg, intensity 71; 33.20 deg, intensity 100; 35.87 deg, intensity 34; 40.89 deg, intensity 41; 44.92 deg, intensity 25; 47.41 deg, intensity 42; 53.65 deg, intensity 22; 59.10 deg, intensity 30

Unit cell a=5.3966 b=5.3966 c=6.7110 alpha=90.00 beta=90.00 gamma=120.00
Fractional positions:
1 Sr 0.0000 0.0000 0.0000
2 Pa 0.3333 0.6667 0.3751
3 Pa 0.6667 0.3333 0.6249
4 Pd 0.0000 0.0000 0.5000
5 O 0.1769 0.3539 0.6604
6 O 0.1769 0.8231 0.6604
7 O 0.3333 0.6667 0.0935
8 O 0.3539 0.1769 0.3396
9 O 0.6461 0.8231 0.6604
10 O 0.6667 0.3333 0.9065
11 O 0.8231 0.1769 0.3396
12 O 0.8231 0.6461 0.3396

---

The following is a computed X-ray diffraction stick pattern of Pm4PaO10. It was derived from a cell relaxed with PBE, using copper Kα.
Kinematic intensities with the Lorentz-polarization factor, no thermal factor.

Peak list (10 most intense, 2θ = 10–90°, sorted by position)
27.82 deg, intensity 100; 31.41 deg, intensity 11; 31.59 deg, intensity 11; 33.64 deg, intensity 10; 45.15 deg, intensity 19; 46.57 deg, intensity 9; 46.81 deg, intensity 25; 53.67 deg, intensity 8; 53.83 deg, intensity 8; 53.98 deg, intensity 16

Unit cell a=6.6619 b=6.6619 c=8.4983 alpha=127.48 beta=127.48 gamma=50.31
Fractional positions:
1 Pm 0.1046 0.1046 0.3044
2 Pm 0.2954 0.2954 0.8946
3 Pm 0.7046 0.7046 0.1054
4 Pm 0.8954 0.8954 0.6956
5 Pa 0.5000 0.5000 0.5000
6 O 0.0740 0.5518 0.4070
7 O 0.1674 0.6439 0.2068
8 O 0.2512 0.7488 0.0000
9 O 0.3561 0.8326 0.7932
10 O 0.4482 0.9260 0.5930
11 O 0.5518 0.0740 0.4070
12 O 0.6439 0.1674 0.2068
13 O 0.7488 0.2512 0.0000
14 O 0.8326 0.3561 0.7932
15 O 0.9260 0.4482 0.5930